(1)
# KCaIn6
Calculated X-ray powder pattern, Cu Kα (weighted mean of Kα1 and Kα2). Input: a crystal structure in Alexandria, relaxed with PBE.
No peak broadening, texture or thermal motion is included.

Structure:
```
data_KCaIn6
_chemical_formula_sum 'K1 Ca1 In6'
_cell_length_a 5.0102
_cell_length_b 6.8153
_cell_length_c 6.8962
_cell_angle_alpha 90.00
_cell_angle_beta 90.00
_cell_angle_gamma 90.00
_space_group_name_H-M_alt 'P m m 2'
_space_group_IT_number 25
loop_
_space_group_symop_operation_xyz
'x,y,z'
'-x,-y,z'
'-x,y,z'
'x,-y,z'
loop_
_atom_site_label
_atom_site_fract_x
_atom_site_fract_y
_atom_site_fract_z
K1 0.0000 0.0000 0.0000
Ca1 0.5000 0.5000 0.2116
In1 0.0000 0.2684 0.4602
In2 0.0000 0.5000 0.8733
In3 0.5000 0.0000 0.3513
In4 0.5000 0.2485 0.7449
```

Main lines, by intensity (2θ = 10–90°):
| two_theta | d_spacing | Rel. int. | hkl |
| --- | --- | --- | --- |
| 34.4 | 2.608 | 100 | 1 2 1 |
| 31.5 | 2.840 | 50 | 1 0 2 |
| 35.8 | 2.505 | 33 | 2 0 0 |
| 12.8 | 6.896 | 27 | 0 0 1 |
| 29.2 | 3.055 | 26 | 0 2 1 |
| 41.4 | 2.181 | 24 | 1 2 2 |
| 34.2 | 2.622 | 17 | 1 1 2 |
| 63.5 | 1.465 | 16 | 3 2 1 |
| 18.3 | 4.848 | 14 | 0 1 1 |
| 22.0 | 4.040 | 14 | 1 1 0 |


(2)
# Li7ZnAg2
Calculated X-ray powder pattern, Cu Kα (weighted mean of Kα1 and Kα2). Input: a crystal structure in Alexandria, relaxed with PBE.
No peak broadening, texture or thermal motion is included.

Structure:
```
data_Li7ZnAg2
_chemical_formula_sum 'Li7 Zn1 Ag2'
_cell_length_a 4.4932
_cell_length_b 4.4932
_cell_length_c 9.8704
_cell_angle_alpha 90.00
_cell_angle_beta 90.00
_cell_angle_gamma 120.00
_space_group_name_H-M_alt 'P 3 m 1'
_space_group_IT_number 156
loop_
_space_group_symop_operation_xyz
'x,y,z'
'-y,x-y,z'
'-x+y,-x,z'
'-y,-x,z'
'-x+y,y,z'
'x,x-y,z'
loop_
_atom_site_label
_atom_site_fract_x
_atom_site_fract_y
_atom_site_fract_z
Li1 0.0000 0.0000 0.0000
Li2 0.0000 0.0000 0.2452
Li3 0.0000 0.0000 0.7519
Li4 0.3333 0.6667 0.4041
Li5 0.3333 0.6667 0.8040
Li6 0.6667 0.3333 0.2069
Li7 0.6667 0.3333 0.5981
Zn1 0.6667 0.3333 0.9181
Ag1 0.0000 0.0000 0.4989
Ag2 0.3333 0.6667 0.0892
```

Main lines, by intensity (2θ = 10–90°):
| two_theta | d_spacing | Rel. int. | hkl |
| --- | --- | --- | --- |
| 24.6 | 3.620 | 100 | 1 0 1 |
| 35.7 | 2.512 | 37 | 1 0 3 |
| 40.1 | 2.247 | 37 | 1 1 0 |
| 29.2 | 3.056 | 34 | 0 1 2 |
| 18.0 | 4.935 | 32 | 0 0 2 |
| 43.4 | 2.084 | 27 | 0 1 4 |
| 44.3 | 2.045 | 18 | 1 1 2 |
| 47.6 | 1.909 | 16 | 0 2 1 |
| 64.0 | 1.455 | 13 | 2 1 1 |
| 62.6 | 1.483 | 10 | 1 1 5 |


(3)
# Th4Tc3Ge5
Calculated X-ray powder pattern, Cu Kα (weighted mean of Kα1 and Kα2). Input: a crystal structure in Alexandria, relaxed with PBE.
No peak broadening, texture or thermal motion is included.

Structure:
```
data_Th4Tc3Ge5
_chemical_formula_sum 'Th8 Tc6 Ge10'
_cell_length_a 14.9109
_cell_length_b 4.5631
_cell_length_c 11.1768
_cell_angle_alpha 90.00
_cell_angle_beta 131.46
_cell_angle_gamma 90.00
_space_group_name_H-M_alt 'C 1 2/m 1'
_space_group_IT_number 12
loop_
_space_group_symop_operation_xyz
'x,y,z'
'-x,-y,-z'
'-x,y,-z'
'x,-y,z'
'x+1/2,y+1/2,z'
'-x+1/2,-y+1/2,-z'
'-x+1/2,y+1/2,-z'
'x+1/2,-y+1/2,z'
loop_
_atom_site_label
_atom_site_fract_x
_atom_site_fract_y
_atom_site_fract_z
Th1 0.0852 0.0000 0.4135
Th2 0.2400 0.0000 0.8678
Tc1 0.0000 0.0000 0.0000
Tc2 0.0651 0.5000 0.8377
Ge1 0.0000 0.5000 0.0000
Ge2 0.0906 0.5000 0.6394
Ge3 0.2113 0.0000 0.2933
```

Main lines, by intensity (2θ = 10–90°):
| two_theta | d_spacing | Rel. int. | hkl |
| --- | --- | --- | --- |
| 31.1 | 2.874 | 100 | 3 1 -3 |
| 37.8 | 2.378 | 93 | 6 0 -4 |
| 33.7 | 2.660 | 86 | 1 1 2 |
| 27.0 | 3.298 | 80 | 3 1 -1 |
| 39.5 | 2.282 | 77 | 0 2 0 |
| 25.9 | 3.438 | 56 | 1 1 -2 |
| 36.4 | 2.471 | 53 | 5 1 -2 |
| 53.2 | 1.722 | 39 | 5 1 -6 |
| 55.8 | 1.646 | 37 | 6 2 -4 |
| 24.4 | 3.641 | 33 | 2 0 -3 |